[1]
Calculated powder diffractogram
Compound: Sc4Co3Pt
Radiation: Cu Kα X-rays
Structure: a cell relaxed with PBE
Peak positions follow from Bragg's law for the DFT cell and can differ from measured ones.

Peak list (10 most intense, 10 to 80 degrees two-theta, by angle)
d/Å, two_theta, Rel. int.
4.009, 22.17, 11
3.200, 27.88, 8
3.163, 28.21, 16
2.250, 40.08, 100
2.244, 40.18, 25
2.230, 40.46, 24
1.600, 57.62, 8
1.582, 58.34, 16
1.297, 72.96, 16
1.291, 73.33, 15

Structure:
```
data_Sc4Co3Pt
_chemical_formula_sum 'Sc4 Co3 Pt1'
_space_group_name_H-M_alt 'P 1'
_space_group_IT_number 1
_cell_length_a 3.200
_cell_length_b 4.488
_cell_length_c 8.919
_cell_angle_alpha 90.00
_cell_angle_beta 90.00
_cell_angle_gamma 90.00
loop_
_space_group_symop_operation_xyz
'x,y,z'
loop_
_atom_site_label
_atom_site_type_symbol
_atom_site_fract_x
_atom_site_fract_y
_atom_site_fract_z
Sc1 Sc 0.000 0.000 0.000
Sc2 Sc 0.000 0.000 0.500
Sc3 Sc 0.000 0.500 0.239
Sc4 Sc 0.000 0.500 0.761
Co1 Co 0.500 0.000 0.250
Co2 Co 0.500 0.000 0.750
Co3 Co 0.500 0.500 0.000
Pt1 Pt 0.500 0.500 0.500
```

[2]
Calculated powder diffractogram
Compound: Sc4CoPt3
Radiation: Cu Kα X-rays
Structure: a cell relaxed with PBE
Peak positions follow from Bragg's law for the DFT cell and can differ from measured ones.

Peak list (10 most intense, 10 to 80 degrees two-theta, by angle)
d/Å, two_theta, Rel. int.
3.276, 27.22, 40
3.234, 27.58, 20
2.322, 38.78, 26
2.311, 38.97, 25
2.302, 39.14, 100
1.886, 48.25, 9
1.638, 56.15, 17
1.462, 63.66, 12
1.337, 70.45, 17
1.333, 70.69, 17

Structure:
```
data_Sc4CoPt3
_chemical_formula_sum 'Sc4 Co1 Pt3'
_space_group_name_H-M_alt 'P 1'
_space_group_IT_number 1
_cell_length_a 3.234
_cell_length_b 4.644
_cell_length_c 9.245
_cell_angle_alpha 90.00
_cell_angle_beta 90.00
_cell_angle_gamma 90.00
loop_
_space_group_symop_operation_xyz
'x,y,z'
loop_
_atom_site_label
_atom_site_type_symbol
_atom_site_fract_x
_atom_site_fract_y
_atom_site_fract_z
Sc1 Sc 0.000 0.000 0.000
Sc2 Sc 0.000 0.000 0.500
Sc3 Sc 0.000 0.500 0.240
Sc4 Sc 0.000 0.500 0.760
Co1 Co 0.500 0.500 0.000
Pt1 Pt 0.500 0.000 0.247
Pt2 Pt 0.500 0.000 0.753
Pt3 Pt 0.500 0.500 0.500
```

[3]
Calculated powder diffractogram
Compound: Sc4CoPt
Radiation: Cu Kα X-rays
Structure: a cell relaxed with PBE
Peak positions follow from Bragg's law for the DFT cell and can differ from measured ones.

Peak list (10 most intense, 10 to 80 degrees two-theta, by angle)
d/Å, two_theta, Rel. int.
5.014, 17.69, 100
3.787, 23.49, 70
3.510, 25.38, 49
3.320, 26.85, 56
2.662, 33.67, 68
2.297, 39.22, 36
2.281, 39.50, 53
2.185, 41.32, 57
2.067, 43.80, 42
2.033, 44.56, 44

Structure:
```
data_Sc4CoPt
_chemical_formula_sum 'Sc8 Co2 Pt2'
_space_group_name_H-M_alt 'P 1'
_space_group_IT_number 1
_cell_length_a 7.321
_cell_length_b 7.321
_cell_length_c 5.623
_cell_angle_alpha 106.49
_cell_angle_beta 106.49
_cell_angle_gamma 112.00
loop_
_space_group_symop_operation_xyz
'x,y,z'
loop_
_atom_site_label
_atom_site_type_symbol
_atom_site_fract_x
_atom_site_fract_y
_atom_site_fract_z
Sc1 Sc 0.054 0.702 0.909
Sc2 Sc 0.228 0.357 0.704
Sc3 Sc 0.298 0.946 0.591
Sc4 Sc 0.357 0.228 0.204
Sc5 Sc 0.643 0.772 0.796
Sc6 Sc 0.702 0.054 0.409
Sc7 Sc 0.772 0.643 0.296
Sc8 Sc 0.946 0.298 0.091
Co1 Co 0.000 0.000 0.250
Co2 Co 0.000 0.000 0.750
Pt1 Pt 0.363 0.637 0.250
Pt2 Pt 0.637 0.363 0.750
```

[4]
Calculated powder diffractogram
Compound: Sc2Co3Pt
Radiation: Cu Kα X-rays
Structure: a cell relaxed with PBE
Peak positions follow from Bragg's law for the DFT cell and can differ from measured ones.

Peak list (10 most intense, 10 to 80 degrees two-theta, by angle)
d/Å, two_theta, Rel. int.
4.002, 22.22, 100
3.528, 25.24, 39
2.429, 37.01, 38
2.205, 40.92, 64
2.158, 41.86, 24
2.117, 42.71, 100
2.001, 45.33, 65
1.764, 51.83, 25
1.355, 69.34, 26
1.334, 70.61, 22

Structure:
```
data_Sc2Co3Pt
_chemical_formula_sum 'Sc2 Co3 Pt1'
_space_group_name_H-M_alt 'P 1'
_space_group_IT_number 1
_cell_length_a 5.148
_cell_length_b 5.148
_cell_length_c 5.148
_cell_angle_alpha 56.32
_cell_angle_beta 56.32
_cell_angle_gamma 56.32
loop_
_space_group_symop_operation_xyz
'x,y,z'
loop_
_atom_site_label
_atom_site_type_symbol
_atom_site_fract_x
_atom_site_fract_y
_atom_site_fract_z
Sc1 Sc 0.118 0.118 0.118
Sc2 Sc 0.882 0.882 0.882
Co1 Co 0.000 0.500 0.500
Co2 Co 0.500 0.000 0.500
Co3 Co 0.500 0.500 0.000
Pt1 Pt 0.500 0.500 0.500
```

[5]
Calculated powder diffractogram
Compound: Co2PtSe
Radiation: Cu Kα X-rays
Structure: a cell relaxed with PBE
Peak positions follow from Bragg's law for the DFT cell and can differ from measured ones.

Peak list (10 most intense, 10 to 80 degrees two-theta, by angle)
d/Å, two_theta, Rel. int.
4.618, 19.22, 12
4.208, 21.11, 14
3.110, 28.70, 31
2.419, 37.16, 20
2.309, 39.01, 20
2.104, 42.99, 30
2.097, 43.13, 100
2.024, 44.77, 27
1.555, 59.44, 12
1.213, 78.89, 17

Structure:
```
data_Co2PtSe
_chemical_formula_sum 'Co2 Pt1 Se1'
_space_group_name_H-M_alt 'P 1'
_space_group_IT_number 1
_cell_length_a 2.840
_cell_length_b 4.208
_cell_length_c 4.618
_cell_angle_alpha 90.00
_cell_angle_beta 90.05
_cell_angle_gamma 90.00
loop_
_space_group_symop_operation_xyz
'x,y,z'
loop_
_atom_site_label
_atom_site_type_symbol
_atom_site_fract_x
_atom_site_fract_y
_atom_site_fract_z
Co1 Co 0.000 0.000 0.000
Co2 Co 0.001 0.500 0.676
Pt1 Pt 0.501 0.500 0.168
Se1 Se 0.499 0.000 0.578
```

[6]
Calculated powder diffractogram
Compound: CoSiPt4
Radiation: Cu Kα X-rays
Structure: a cell relaxed with PBE
Peak positions follow from Bragg's law for the DFT cell and can differ from measured ones.

Peak list (10 most intense, 10 to 80 degrees two-theta, by angle)
d/Å, two_theta, Rel. int.
4.274, 20.78, 91
2.617, 34.26, 3
2.232, 40.41, 100
2.137, 42.29, 86
1.851, 49.23, 33
1.698, 53.99, 23
1.511, 61.35, 1
1.425, 65.52, 32
1.309, 72.18, 33
1.251, 76.06, 17

Structure:
```
data_CoSiPt4
_chemical_formula_sum 'Co1 Si1 Pt4'
_space_group_name_H-M_alt 'P 1'
_space_group_IT_number 1
_cell_length_a 5.235
_cell_length_b 5.235
_cell_length_c 5.235
_cell_angle_alpha 60.00
_cell_angle_beta 60.00
_cell_angle_gamma 60.00
loop_
_space_group_symop_operation_xyz
'x,y,z'
loop_
_atom_site_label
_atom_site_type_symbol
_atom_site_fract_x
_atom_site_fract_y
_atom_site_fract_z
Co1 Co 0.000 0.000 0.000
Si1 Si 0.250 0.250 0.250
Pt1 Pt 0.125 0.625 0.625
Pt2 Pt 0.625 0.125 0.625
Pt3 Pt 0.625 0.625 0.125
Pt4 Pt 0.625 0.625 0.625
```

[7]
Calculated powder diffractogram
Compound: CoSi2Pt
Radiation: Cu Kα X-rays
Structure: a cell relaxed with PBE
Peak positions follow from Bragg's law for the DFT cell and can differ from measured ones.

Peak list (10 most intense, 10 to 80 degrees two-theta, by angle)
d/Å, two_theta, Rel. int.
3.984, 22.31, 40
3.811, 23.34, 40
3.246, 27.48, 62
3.025, 29.53, 76
2.550, 35.20, 43
2.434, 36.94, 32
2.289, 39.36, 100
2.012, 45.05, 47
1.982, 45.78, 72
1.905, 47.73, 33

Structure:
```
data_CoSi2Pt
_chemical_formula_sum 'Co2 Si4 Pt2'
_space_group_name_H-M_alt 'P 1'
_space_group_IT_number 1
_cell_length_a 7.940
_cell_length_b 3.295
_cell_length_c 4.151
_cell_angle_alpha 90.00
_cell_angle_beta 106.30
_cell_angle_gamma 90.00
loop_
_space_group_symop_operation_xyz
'x,y,z'
loop_
_atom_site_label
_atom_site_type_symbol
_atom_site_fract_x
_atom_site_fract_y
_atom_site_fract_z
Co1 Co 0.000 0.000 0.000
Co2 Co 0.500 0.500 0.000
Si1 Si 0.008 0.500 0.593
Si2 Si 0.277 0.000 0.931
Si3 Si 0.508 0.000 0.593
Si4 Si 0.777 0.500 0.931
Pt1 Pt 0.264 0.500 0.394
Pt2 Pt 0.764 0.000 0.394
```

[8]
Calculated powder diffractogram
Compound: Co2SiPt
Radiation: Cu Kα X-rays
Structure: a cell relaxed with PBE
Peak positions follow from Bragg's law for the DFT cell and can differ from measured ones.

Peak list (10 most intense, 10 to 80 degrees two-theta, by angle)
d/Å, two_theta, Rel. int.
3.612, 24.64, 8
3.277, 27.22, 74
2.110, 42.86, 100
2.015, 45.00, 20
1.838, 49.59, 32
1.806, 50.53, 15
1.603, 57.48, 20
1.358, 69.18, 11
1.300, 72.75, 10
1.288, 73.51, 20

Structure:
```
data_Co2SiPt
_chemical_formula_sum 'Co4 Si2 Pt2'
_space_group_name_H-M_alt 'P 1'
_space_group_IT_number 1
_cell_length_a 3.677
_cell_length_b 3.677
_cell_length_c 7.225
_cell_angle_alpha 90.00
_cell_angle_beta 90.00
_cell_angle_gamma 90.00
loop_
_space_group_symop_operation_xyz
'x,y,z'
loop_
_atom_site_label
_atom_site_type_symbol
_atom_site_fract_x
_atom_site_fract_y
_atom_site_fract_z
Co1 Co 0.000 0.500 0.250
Co2 Co 0.000 0.500 0.750
Co3 Co 0.500 0.000 0.250
Co4 Co 0.500 0.000 0.750
Si1 Si 0.000 0.000 0.000
Si2 Si 0.500 0.500 0.500
Pt1 Pt 0.000 0.000 0.500
Pt2 Pt 0.500 0.500 0.000
```